Diffraction record for Ce2Zn6Pd. The X-ray diffraction stick pattern is computed, not measured: it uses a crystal structure in Alexandria, relaxed with GGA-PBE and Cu Kα.

Main lines, in order of rising 2θ (2θ from 5° to 70°):
d/Å, two_theta, Rel. int.
2.934, 30.47, 204
2.608, 34.38, 493
2.541, 35.33, 130
2.485, 36.14, 576
2.320, 38.81, 1000
1.897, 47.96, 181
1.624, 56.70, 129
1.593, 57.88, 292
1.467, 63.42, 242
1.351, 69.61, 172

Atomic structure:
```
Ce2Zn6Pd
1.0
5.8670 0.0000 0.0000
-2.9335 5.0810 0.0000
0.0000 0.0000 5.6995
Ce Zn Pd
2 6 1
Direct
0.3333 0.6667 0.3367
0.6667 0.3333 0.6633
0.1775 0.3551 0.8334
0.1775 0.8225 0.8334
0.3551 0.1775 0.1666
0.6449 0.8225 0.8334
0.8225 0.1775 0.1666
0.8225 0.6449 0.1666
0.0000 0.0000 0.5000
```

Diffraction record for Ce3Zn2Pd3. The X-ray diffraction stick pattern is computed, not measured: it uses a crystal structure in Alexandria, relaxed with GGA-PBE and Cu Kα.

Main lines, in order of rising 2θ (2θ from 5° to 70°):
d/Å, two_theta, Rel. int.
2.948, 30.32, 208
2.882, 31.03, 365
2.821, 31.71, 626
2.621, 34.20, 973
2.517, 35.66, 253
2.448, 36.72, 1000
2.320, 38.82, 290
2.219, 40.65, 216
2.118, 42.70, 515
1.565, 59.03, 334

Atomic structure:
```
Ce3Zn2Pd3
1.0
2.1177 -5.8962 0.0000
2.1177 5.8962 0.0000
0.0000 0.0000 13.9197
Ce Zn Pd
6 4 6
Direct
0.0765 0.9235 0.6106
0.0765 0.9235 0.8894
0.3495 0.6505 0.7500
0.6505 0.3495 0.2500
0.9235 0.0765 0.1106
0.9235 0.0765 0.3894
0.2241 0.7759 0.0821
0.2241 0.7759 0.4179
0.7759 0.2241 0.5821
0.7759 0.2241 0.9179
0.3415 0.6585 0.2500
0.3966 0.6034 0.5474
0.3966 0.6034 0.9526
0.6034 0.3966 0.0474
0.6034 0.3966 0.4526
0.6585 0.3415 0.7500
```

Diffraction record for Ce3Zn2Pd4. The X-ray diffraction stick pattern is computed, not measured: it uses a crystal structure in Alexandria, relaxed with GGA-PBE and Cu Kα.

Main lines, in order of rising 2θ (2θ from 5° to 70°):
d/Å, two_theta, Rel. int.
2.816, 31.78, 290
2.666, 33.61, 281
2.600, 34.50, 847
2.529, 35.50, 675
2.520, 35.62, 379
2.310, 38.99, 1000
2.255, 39.99, 584
1.689, 54.30, 217
1.680, 54.62, 218
1.352, 69.53, 204

Atomic structure:
```
Ce3Zn2Pd4
1.0
5.4172 -2.2547 0.0000
5.4172 2.2547 0.0000
-4.0622 0.0000 7.5609
Ce Zn Pd
3 2 4
Direct
0.0000 0.0000 0.0000
0.3610 0.3610 0.3176
0.6390 0.6390 0.6824
0.3409 0.3409 0.6714
0.6591 0.6591 0.3286
0.0719 0.0719 0.3952
0.2813 0.2813 0.9284
0.7187 0.7187 0.0716
0.9281 0.9281 0.6048
```

Diffraction record for CeZrPd14. The X-ray diffraction stick pattern is computed, not measured: it uses a crystal structure in Alexandria, relaxed with GGA-PBE and Cu Kα.

Main lines, in order of rising 2θ (2θ from 5° to 70°):
d/Å, two_theta, Rel. int.
2.324, 38.75, 1000
2.040, 44.42, 338
1.961, 46.29, 149
1.442, 64.62, 108
1.414, 66.09, 201

Atomic structure:
```
CeZrPd14
1.0
5.7689 0.0000 0.0000
0.0000 5.7689 0.0000
0.0000 0.0000 7.8457
Ce Zr Pd
1 1 14
Direct
0.0000 0.0000 0.0000
0.5000 0.5000 0.0000
0.0000 0.0000 0.5000
0.0000 0.5000 0.0000
0.0000 0.5000 0.5000
0.2529 0.2529 0.2528
0.2529 0.2529 0.7472
0.2529 0.7471 0.2528
0.2529 0.7471 0.7472
0.5000 0.0000 0.0000
0.5000 0.0000 0.5000
0.5000 0.5000 0.5000
0.7471 0.2529 0.2528
0.7471 0.2529 0.7472
0.7471 0.7471 0.2528
0.7471 0.7471 0.7472
```

Diffraction record for Ce2ZrPd9. The X-ray diffraction stick pattern is computed, not measured: it uses a crystal structure in Alexandria, relaxed with GGA-PBE and Cu Kα.

Main lines, in order of rising 2θ (2θ from 5° to 70°):
d/Å, two_theta, Rel. int.
2.635, 34.02, 8
2.473, 36.33, 8
2.379, 37.81, 1000
2.060, 43.95, 487
1.583, 58.29, 7
1.457, 63.90, 309
1.365, 68.75, 8

Atomic structure:
```
Ce2ZrPd9
1.0
4.1203 0.0000 0.0000
0.0000 4.1203 0.0000
0.0000 0.0000 12.3647
Ce Zr Pd
2 1 9
Direct
0.0000 0.0000 0.1692
0.0000 0.0000 0.8308
0.0000 0.0000 0.5000
0.0000 0.5000 0.0000
0.0000 0.5000 0.3414
0.0000 0.5000 0.6586
0.5000 0.0000 0.0000
0.5000 0.0000 0.3414
0.5000 0.0000 0.6586
0.5000 0.5000 0.1714
0.5000 0.5000 0.5000
0.5000 0.5000 0.8286
```

Diffraction record for CePm6Pr2. The X-ray diffraction stick pattern is computed, not measured: it uses a crystal structure in Alexandria, relaxed with GGA-PBE and Cu Kα.

Main lines, in order of rising 2θ (2θ from 5° to 70°):
d/Å, two_theta, Rel. int.
3.145, 28.38, 259
3.130, 28.52, 237
2.899, 30.84, 729
2.881, 31.04, 1000
2.810, 31.85, 316
2.715, 32.99, 694
2.624, 34.18, 304
2.603, 34.46, 192
2.205, 40.94, 171
1.508, 61.48, 173

Atomic structure:
```
CePm6Pr2
1.0
5.2497 -3.5411 0.0000
5.2497 3.5411 0.0000
-2.8510 0.0000 8.4590
Ce Pm Pr
1 6 2
Direct
0.0000 0.0000 0.0000
0.2007 0.6782 0.2949
0.3218 0.7993 0.7051
0.3380 0.3380 0.9122
0.6620 0.6620 0.0878
0.6782 0.2007 0.2949
0.7993 0.3218 0.7051
0.2230 0.2230 0.4608
0.7770 0.7770 0.5392
```

Diffraction record for CePm3Pr8. The X-ray diffraction stick pattern is computed, not measured: it uses a crystal structure in Alexandria, relaxed with GGA-PBE and Cu Kα.

Main lines, in order of rising 2θ (2θ from 5° to 70°):
d/Å, two_theta, Rel. int.
3.750, 23.73, 580
3.526, 25.26, 562
3.131, 28.51, 795
2.915, 30.67, 692
2.774, 32.27, 308
2.524, 35.56, 1000
2.133, 42.37, 501
2.070, 43.74, 453
1.664, 55.18, 330
1.597, 57.75, 295

Atomic structure:
```
CePm3Pr8
1.0
-4.4278 4.4278 5.8298
4.4278 -4.4278 5.8298
4.4278 4.4278 -5.8298
Ce Pm Pr
1 3 8
Direct
0.0000 0.0000 0.0000
0.2500 0.7500 0.5000
0.5000 0.5000 0.0000
0.7500 0.2500 0.5000
0.1202 0.1202 0.7568
0.2212 0.2212 0.4773
0.2561 0.7788 0.0000
0.3634 0.3634 0.2432
0.6366 0.8798 0.0000
0.7439 0.7439 0.5227
0.7788 0.2561 0.0000
0.8798 0.6366 0.0000
```

Diffraction record for CePm2Pr4. The X-ray diffraction stick pattern is computed, not measured: it uses a crystal structure in Alexandria, relaxed with GGA-PBE and Cu Kα.

Main lines, in order of rising 2θ (2θ from 5° to 70°):
d/Å, two_theta, Rel. int.
3.150, 28.33, 375
2.992, 29.87, 514
2.899, 30.85, 1000
2.722, 32.91, 859
2.353, 38.25, 153
1.840, 49.55, 380
1.750, 52.27, 222
1.634, 56.29, 188
1.567, 58.94, 449
1.553, 59.51, 154

Atomic structure:
```
CePm2Pr4
1.0
3.1858 -1.8400 0.0000
3.1858 1.8400 0.0000
-0.0161 0.0000 20.9419
Ce Pm Pr
1 2 4
Direct
0.0000 0.0000 0.0000
0.9998 0.9998 0.2843
0.9994 0.9994 0.5715
0.3333 0.3333 0.8589
0.3338 0.3338 0.1397
0.6666 0.6666 0.4269
0.6667 0.6667 0.7140
```

Diffraction record for CePm4Pr8. The X-ray diffraction stick pattern is computed, not measured: it uses a crystal structure in Alexandria, relaxed with GGA-PBE and Cu Kα.

Main lines, in order of rising 2θ (2θ from 5° to 70°):
d/Å, two_theta, Rel. int.
3.245, 27.49, 173
3.108, 28.72, 319
2.960, 30.20, 1000
2.821, 31.72, 442
2.387, 37.69, 278
1.886, 48.25, 317
1.797, 50.81, 183
1.704, 53.78, 99
1.612, 57.13, 250
1.591, 57.98, 156

Atomic structure:
```
CePm4Pr8
1.0
3.7719 2.1777 9.3240
-3.7719 2.1777 9.3240
0.0000 -4.3555 9.3240
Ce Pm Pr
1 4 8
Direct
0.0000 0.0000 0.0000
0.0000 0.0000 0.5000
0.0000 0.5000 0.0000
0.5000 0.0000 0.0000
0.5000 0.5000 0.5000
0.2439 0.2439 0.7003
0.2439 0.7003 0.2439
0.2794 0.2794 0.2794
0.2997 0.7561 0.7561
0.7003 0.2439 0.2439
0.7206 0.7206 0.7206
0.7561 0.2997 0.7561
0.7561 0.7561 0.2997
```

Diffraction record for CePmPr6. The X-ray diffraction stick pattern is computed, not measured: it uses a crystal structure in Alexandria, relaxed with GGA-PBE and Cu Kα.

Main lines, in order of rising 2θ (2θ from 5° to 70°):
d/Å, two_theta, Rel. int.
3.010, 29.68, 1000
2.607, 34.41, 507
1.843, 49.44, 303
1.842, 49.49, 60
1.572, 58.74, 431
1.505, 61.63, 124

Atomic structure:
```
CePmPr6
1.0
0.0000 5.2093 7.3676
3.6913 0.0000 7.3676
3.6913 5.2093 0.0000
Ce Pm Pr
1 1 6
Direct
0.0000 0.0000 0.0000
0.5000 0.5000 0.5000
0.1220 0.1220 0.3780
0.2474 0.2474 0.7526
0.3780 0.3780 0.1220
0.6220 0.6220 0.8780
0.7526 0.7526 0.2474
0.8780 0.8780 0.6220
```

Diffraction record for CePm2Pr8. The X-ray diffraction stick pattern is computed, not measured: it uses a crystal structure in Alexandria, relaxed with GGA-PBE and Cu Kα.

Main lines, in order of rising 2θ (2θ from 5° to 70°):
d/Å, two_theta, Rel. int.
3.712, 23.97, 98
3.086, 28.93, 264
2.893, 30.90, 363
2.870, 31.17, 1000
2.830, 31.62, 178
2.744, 32.64, 107
2.703, 33.14, 120
1.666, 55.13, 199
1.517, 61.10, 107
1.492, 62.22, 114

Atomic structure:
```
CePm2Pr8
1.0
-2.8935 4.1756 8.1098
2.8935 -4.1756 8.1098
2.8935 4.1756 -8.1098
Ce Pm Pr
1 2 8
Direct
0.0000 0.0000 0.0000
0.3000 0.3000 0.0000
0.7000 0.7000 0.0000
0.1568 0.8657 0.2910
0.1607 0.6607 0.5000
0.2874 0.5000 0.7874
0.4253 0.1343 0.2910
0.5747 0.8657 0.7090
0.7126 0.5000 0.2126
0.8393 0.3393 0.5000
0.8432 0.1343 0.7090
```

Diffraction record for CePmPr4. The X-ray diffraction stick pattern is computed, not measured: it uses a crystal structure in Alexandria, relaxed with GGA-PBE and Cu Kα.

Main lines, in order of rising 2θ (2θ from 5° to 70°):
d/Å, two_theta, Rel. int.
3.002, 29.76, 334
3.001, 29.77, 1000
2.599, 34.51, 676
1.838, 49.60, 484
1.568, 58.89, 385
1.565, 59.01, 192
1.501, 61.83, 166

Atomic structure:
```
CePmPr4
1.0
3.1813 -5.5155 0.0000
3.1813 5.5155 0.0000
-2.1040 0.0000 6.0031
Ce Pm Pr
1 1 4
Direct
0.0000 0.0000 0.0000
0.5000 0.5000 0.5000
0.1635 0.8365 0.5000
0.3341 0.6659 0.0000
0.6659 0.3341 0.0000
0.8365 0.1635 0.5000
```

Diffraction record for CePm6Pr. The X-ray diffraction stick pattern is computed, not measured: it uses a crystal structure in Alexandria, relaxed with GGA-PBE and Cu Kα.

Main lines, in order of rising 2θ (2θ from 5° to 70°):
d/Å, two_theta, Rel. int.
2.978, 30.01, 1000
2.579, 34.79, 507
1.824, 50.00, 302
1.821, 50.09, 60
1.555, 59.43, 431
1.490, 62.31, 62
1.488, 62.42, 62

Atomic structure:
```
CePm6Pr
1.0
0.0000 5.1581 7.2850
3.6516 0.0000 7.2850
3.6516 5.1581 0.0000
Ce Pm Pr
1 6 1
Direct
0.0000 0.0000 0.0000
0.1237 0.1237 0.3763
0.2472 0.2472 0.7528
0.3763 0.3763 0.1237
0.6237 0.6237 0.8763
0.7528 0.7528 0.2472
0.8763 0.8763 0.6237
0.5000 0.5000 0.5000
```